PmVRe: calculated powder X-ray diffraction pattern (Cu Kα X-rays), based on the PBE geometry in Alexandria.
Neutral-atom scattering factors, no anomalous dispersion.

```
data_PmVRe
_symmetry_space_group_name_H-M 'P 1'
_symmetry_Int_Tables_number 1
_symmetry_space_group_name_Hall 'P 1'
_cell_length_a 3.135
_cell_length_b 4.509
_cell_length_c 9.070
_cell_angle_alpha 90.00
_cell_angle_beta 90.00
_cell_angle_gamma 90.00
loop_
_atom_site_label
_atom_site_fract_x
_atom_site_fract_y
_atom_site_fract_z
_atom_site_occupancy
Pm1 0.250 0.250 0.115 1
Pm2 0.750 0.750 0.885 1
V1 0.250 0.250 0.463 1
V2 0.750 0.750 0.537 1
Re1 0.250 0.750 0.330 1
Re2 0.750 0.250 0.670 1
```

Peak list (10 most intense, 2θ = 10–90°, in order of rising 2θ)
| two_theta | d/Å | I/Imax | h k l |
| --- | --- | --- | --- |
| 27.90 | 3.198 | 100.0 | 0 1 2 |
| 30.16 | 2.963 | 76.7 | 1 0 1 |
| 35.76 | 2.511 | 18.1 | 0 1 3 |
| 36.28 | 2.476 | 29.3 | 1 1 1 |
| 39.99 | 2.255 | 35.8 | 0 2 0 |
| 40.29 | 2.239 | 25.1 | 1 1 2 |
| 46.32 | 1.960 | 60.2 | 1 1 3 |
| 50.89 | 1.794 | 36.0 | 1 2 1 |
| 58.94 | 1.567 | 17.7 | 2 0 0 |
| 66.42 | 1.408 | 17.7 | 2 1 2 |